[1]
Cs2Ge2I7: calculated X-ray diffraction stick pattern (λ = 1.5418 Å (Cu Kα)), based on a crystal structure in Alexandria, relaxed with PBE.

Peak list (10 most intense, 2θ = 5–70°, in order of rising 2θ)
| 2theta | Rel. int. |
| --- | --- |
| 16.6 | 405 |
| 17.7 | 1000 |
| 22.9 | 448 |
| 23.1 | 654 |
| 23.8 | 327 |
| 24.2 | 478 |
| 28.5 | 317 |
| 31.0 | 412 |
| 39.7 | 430 |
| 42.8 | 305 |

Cell and atoms:
```
Cs2Ge2I7
1.0
6.5534 -7.1744 0.0000
6.5534 7.1744 0.0000
-1.2549 0.0000 7.0228
Cs Ge I
2 2 7
direct
0.2188 0.7812 0.0000
0.7812 0.2188 0.0000
0.2857 0.2857 0.5721
0.7143 0.7143 0.4279
0.1002 0.4014 0.7861
0.1176 0.1176 0.2856
0.4014 0.1002 0.7861
0.5000 0.5000 0.5000
0.5986 0.8998 0.2139
0.8824 0.8824 0.7144
0.8998 0.5986 0.2139
```

[2]
Cs4Ge3I10: calculated X-ray diffraction stick pattern (λ = 1.5418 Å (Cu Kα)), based on a crystal structure in Alexandria, relaxed with PBE.

Peak list (10 most intense, 2θ = 5–70°, in order of rising 2θ)
| 2theta | Rel. int. |
| --- | --- |
| 24.4 | 355 |
| 26.7 | 1000 |
| 28.9 | 362 |
| 29.8 | 914 |
| 42.0 | 519 |
| 42.6 | 339 |
| 51.0 | 349 |
| 51.3 | 202 |
| 52.3 | 270 |
| 68.8 | 169 |

Cell and atoms:
```
Cs4Ge3I10
1.0
-2.9989 2.9989 21.6044
2.9989 -2.9989 21.6044
2.9989 2.9989 -21.6044
Cs Ge I
4 3 10
direct
0.0670 0.0670 0.0000
0.1989 0.1989 0.0000
0.8011 0.8011 0.0000
0.9330 0.9330 0.0000
0.3583 0.3583 0.0000
0.5000 0.5000 0.0000
0.6417 0.6417 0.0000
0.0000 0.5000 0.5000
0.1383 0.6383 0.5000
0.2902 0.2902 0.0000
0.3617 0.8617 0.5000
0.4305 0.4305 0.0000
0.5000 0.0000 0.5000
0.5695 0.5695 0.0000
0.6383 0.1383 0.5000
0.7098 0.7098 0.0000
0.8617 0.3617 0.5000
```